Starting from DFT lattice parameters and positions (PBE), the powder X-ray diffraction pattern of CsLa2HBr was simulated for CuKα.

Principal peaks in the range 2θ = 10–80°, by intensity:
(hkl)  d_spacing  Rel. int.
2 0 0  3.074  100
1 0 1  3.573  55
0 0 1  4.390  52
2 0 1  2.518  50
1 1 1  3.089  44
2 0 2  1.786  41
2 2 0  2.174  37
2 1 1  2.330  34
2 2 2  1.545  25
2 2 1  1.948  24
4 2 0  1.375  21
0 0 2  2.195  19

Atomic structure:
Unit cell a=6.149 b=6.149 c=4.390 alpha=90.00 beta=90.00 gamma=90.00
Space group P4/mmm (No. 123)
Unique sites:
Cs1 0.000 0.000 0.000
La1 0.000 0.500 0.000
H1 0.000 0.000 0.500
Br1 0.500 0.500 0.500

Starting from DFT lattice parameters and positions (PBE), the powder X-ray diffraction pattern of CsH4Br2N was simulated for CuKα.

Principal peaks in the range 2θ = 10–80°, by intensity:
(hkl)  d_spacing  Rel. int.
2 2 0  3.538  100
2 2 4  2.534  74
0 0 4  3.632  50
4 0 4  2.060  39
4 0 0  2.502  38
1 1 1  6.362  34
1 1 3  3.996  33
6 2 4  1.451  24
3 1 3  2.649  23
2 2 8  1.616  19
6 2 0  1.582  17
4 4 4  1.590  17

Atomic structure:
Unit cell a=10.003 b=10.013 c=14.527 alpha=90.00 beta=90.00 gamma=90.00
Space group Fddd (No. 70, origin choice 2)
Unique sites:
Cs1 0.125 0.125 0.125
H1 0.065 0.065 0.584
Br1 0.125 0.125 0.389
N1 0.125 0.125 0.625

Starting from DFT lattice parameters and positions (PBE), the powder X-ray diffraction pattern of CsH6Br2N2 was simulated for CuKα.

Principal peaks in the range 2θ = 10–80°, by intensity:
(hkl)  d_spacing  Rel. int.
0 1 -1  3.987  100
1 -1 0  3.273  53
1 1 1  4.210  49
2 1 0  2.923  44
0 0 1  6.385  39
1 2 0  2.941  38
1 0 -2  2.661  27
1 1 2  2.880  23
0 3 0  1.823  18
1 -2 1  2.002  16
0 1 2  2.867  16
1 0 2  2.851  16

Atomic structure:
Unit cell a=5.934 b=5.976 c=6.456 alpha=82.72 beta=83.05 gamma=66.69
Space group P-1 (No. 2)
Unique sites:
Cs1 0.000 0.000 0.000
H1 0.160 0.422 0.688
H2 0.420 0.164 0.684
H3 0.429 0.428 0.741
Br1 0.321 0.319 0.251
N1 0.325 0.324 0.752

Starting from DFT lattice parameters and positions (PBE), the powder X-ray diffraction pattern of Cs2HOsBr6 was simulated for CuKα.

Principal peaks in the range 2θ = 10–80°, by intensity:
(hkl)  d_spacing  Rel. int.
2 2 0  2.746  100
1 0 1  6.341  74
2 0 2  3.171  71
4 0 0  1.942  68
1 1 2  3.883  50
4 2 2  1.656  25
1 0 5  2.114  24
4 0 4  1.585  23
2 1 1  3.312  21
3 1 2  2.242  20
2 1 5  1.857  18
6 2 0  1.227  18

Atomic structure:
Unit cell a=7.761 b=7.761 c=11.000 alpha=90.00 beta=90.00 gamma=90.00
Space group I4/mmm (No. 139)
Unique sites:
Cs1 0.000 0.500 0.250
H1 0.000 0.000 0.000
Os1 0.000 0.000 0.500
Br1 0.000 0.000 0.271
Br2 0.229 0.229 0.500

Starting from DFT lattice parameters and positions (PBE), the powder X-ray diffraction pattern of CsHPdBr6 was simulated for CuKα.

Principal peaks in the range 2θ = 10–80°, by intensity:
(hkl)  d_spacing  Rel. int.
0 1 -1  5.892  100
2 -2 0  2.733  85
1 0 0  5.473  77
1 1 -3  2.606  76
0 2 -1  3.452  58
2 0 -1  3.138  48
0 1 1  3.956  42
1 2 0  2.367  41
1 0 -2  3.838  38
-1 1 2  3.114  36
1 0 1  3.483  30
1 -1 2  2.663  30

Atomic structure:
Unit cell a=6.600 b=7.264 c=7.928 alpha=102.36 beta=113.66 gamma=107.07
Space group P-1 (No. 2)
Unique sites:
Cs1 0.000 0.000 0.000
H1 0.500 0.500 0.500
Pd1 0.000 0.500 0.500
Br1 0.061 0.571 0.220
Br2 0.320 0.861 0.737
Br3 0.326 0.367 0.585

Starting from DFT lattice parameters and positions (PBE), the powder X-ray diffraction pattern of CsTlHRhSBr was simulated for CuKα.

Principal peaks in the range 2θ = 10–80°, by intensity:
(hkl)  d_spacing  Rel. int.
1 1 0  4.207  100
4 0 0  3.848  95
3 1 1  2.833  89
3 1 -1  2.880  83
0 0 2  2.782  80
3 1 0  3.328  76
2 0 0  7.696  74
2 0 1  4.450  52
0 2 0  2.187  43
8 0 -1  1.837  39
0 2 2  1.719  38
2 0 -1  4.572  37

Atomic structure:
Unit cell a=15.399 b=4.373 c=5.567 alpha=90.00 beta=91.64 gamma=90.00
Space group Cm (No. 8)
Unique sites:
Cs1 0.000 0.000 0.000
Tl1 0.215 0.000 0.536
H1 0.364 0.000 0.218
Rh1 0.279 0.000 0.056
S1 0.265 0.500 0.030
Br1 0.057 0.500 0.504

Starting from DFT lattice parameters and positions (PBE), the powder X-ray diffraction pattern of CsTlHRhSBr was simulated for CuKα.

Principal peaks in the range 2θ = 10–80°, by intensity:
(hkl)  d_spacing  Rel. int.
0 0 2  3.496  100
1 0 0  4.303  83
0 2 0  2.744  71
1 1 1  3.416  60
1 0 2  3.246  58
0 2 2  2.223  39
2 -2 1  1.746  39
1 -1 1  3.357  38
2 0 1  2.261  34
0 0 1  6.991  32
1 2 2  2.139  28
0 2 -2  2.100  26

Atomic structure:
Unit cell a=4.523 b=5.495 c=7.352 alpha=86.83 beta=72.28 gamma=90.00
Space group P1 (No. 1)
Unique sites:
Cs1 0.000 0.000 0.000
Tl1 0.726 0.530 0.557
H1 0.336 0.246 0.334
Rh1 0.746 0.027 0.517
S1 0.267 0.060 0.475
Br1 0.492 0.501 0.015

Starting from DFT lattice parameters and positions (PBE), the powder X-ray diffraction pattern of CsTlHRhSBr was simulated for CuKα.

Principal peaks in the range 2θ = 10–80°, by intensity:
(hkl)  d_spacing  Rel. int.
0 0 2  3.582  100
0 1 0  4.509  95
0 1 2  2.805  94
0 0 1  7.164  72
1 1 1  3.022  70
1 1 -1  3.207  69
2 0 0  2.683  67
2 0 2  2.035  53
0 1 1  3.816  49
0 2 0  2.255  47
2 2 0  1.726  35
0 2 2  1.908  34

Atomic structure:
Unit cell a=5.405 b=4.509 c=7.214 alpha=90.00 beta=96.77 gamma=90.00
Space group Pm (No. 6)
Unique sites:
Cs1 0.000 0.000 0.000
Tl1 0.562 0.000 0.439
H1 0.289 0.500 0.699
Rh1 0.070 0.000 0.510
S1 0.091 0.500 0.561
Br1 0.519 0.500 0.102

Starting from DFT lattice parameters and positions (PBE), the powder X-ray diffraction pattern of CsTlHRhSBr was simulated for CuKα.

Principal peaks in the range 2θ = 10–80°, by intensity:
(hkl)  d_spacing  Rel. int.
0 0 2  3.833  100
0 2 2  2.251  48
1 1 0  3.465  39
0 2 0  2.781  29
0 0 1  7.665  25
2 0 0  2.215  21
2 2 0  1.733  20
1 0 0  4.428  16
1 1 2  2.566  12
1 1 -2  2.574  12
2 2 -2  1.580  12
1 1 -1  3.157  12

Atomic structure:
Unit cell a=4.428 b=5.563 c=7.665 alpha=90.00 beta=90.22 gamma=90.00
Space group Pm (No. 6)
Unique sites:
Cs1 0.000 0.000 0.000
Tl1 0.503 0.500 0.432
H1 0.502 0.000 0.271
Rh1 0.503 0.000 0.474
S1 0.004 0.000 0.529
Br1 0.500 0.500 0.027

Starting from DFT lattice parameters and positions (PBE), the powder X-ray diffraction pattern of Cs2SrH2Br2 was simulated for CuKα.

Principal peaks in the range 2θ = 10–80°, by intensity:
(hkl)  d_spacing  Rel. int.
1 1 0  3.581  100
2 0 0  2.532  40
1 0 5  2.992  39
3 1 0  1.601  31
1 1 6  2.339  28
1 1 4  2.834  27
0 0 4  4.635  22
2 1 5  1.933  22
1 0 3  3.917  18
2 0 6  1.959  17
0 0 6  3.090  16
2 1 11  1.352  14

Atomic structure:
Unit cell a=5.065 b=5.065 c=18.538 alpha=90.00 beta=90.00 gamma=90.00
Space group I4/mmm (No. 139)
Unique sites:
Cs1 0.000 0.000 0.134
Sr1 0.000 0.000 0.500
H1 0.000 0.500 0.000
Br1 0.000 0.000 0.335

Starting from DFT lattice parameters and positions (PBE), the powder X-ray diffraction pattern of CsHf2Br9 was simulated for CuKα.

Principal peaks in the range 2θ = 10–80°, by intensity:
(hkl)  d_spacing  Rel. int.
1 2 1  3.151  100
1 1 -1  5.821  84
0 1 1  6.245  48
1 1 -4  3.052  46
1 0 -2  6.559  35
2 3 -3  2.074  32
2 2 2  2.402  28
0 1 5  2.335  25
4 1 -1  2.421  25
4 0 -6  2.027  23
2 0 -2  4.893  19
1 0 2  4.432  19

Atomic structure:
Unit cell a=10.560 b=7.242 c=13.529 alpha=90.00 beta=114.25 gamma=90.00
Space group P2/c (No. 13)
Unique sites:
Cs1 0.000 0.085 0.250
Hf1 0.324 0.233 0.637
Br1 0.123 0.377 0.663
Br2 0.208 0.073 0.063
Br3 0.287 0.382 0.459
Br4 0.425 0.089 0.844
Br5 0.500 0.489 0.250

Starting from DFT lattice parameters and positions (PBE), the powder X-ray diffraction pattern of Cs2Hf3Br9 was simulated for CuKα.

Principal peaks in the range 2θ = 10–80°, by intensity:
(hkl)  d_spacing  Rel. int.
1 1 -1  8.517  100
2 4 1  3.003  64
3 1 -3  3.147  57
1 5 2  2.651  46
4 0 -4  2.397  42
2 6 2  2.137  31
0 2 1  6.686  29
5 5 -2  1.994  27
0 0 3  3.214  26
1 3 -2  4.068  24
3 1 3  1.961  22
6 6 -2  1.655  21

Atomic structure:
Unit cell a=11.817 b=18.550 c=10.805 alpha=90.00 beta=116.77 gamma=90.00
Space group C2/m (No. 12)
Unique sites:
Cs1 0.103 0.160 0.316
Hf1 0.119 0.500 0.874
Hf2 0.142 0.414 0.143
Br1 0.000 0.300 0.000
Br2 0.028 0.401 0.308
Br3 0.182 0.000 0.669
Br4 0.199 0.193 0.684
Br5 0.214 0.105 0.989
Br6 0.247 0.500 0.716